The following is a theoretical PXRD pattern of Hf2Zr2Fe. It was derived from a DFT-relaxed cell (GGA-PBE, Alexandria), using Cu Kα (weighted mean of Kα1 and Kα2).
Kinematic intensities with the Lorentz-polarization factor, no thermal factor.

Largest 10 diffraction maxima, by intensity, 5 to 70 degrees two-theta:
2theta, Rel. int.
34.1, 100
36.8, 60
38.1, 44
30.1, 26
28.2, 23
50.5, 20
65.0, 19
53.8, 18
67.8, 18
44.0, 16

```
Hf2Zr2Fe
1.0
5.7135 0.0000 0.0000
0.0000 7.6149 0.0000
0.0000 0.0000 4.7287
Hf Zr Fe
4 4 2
Direct
0.2484 0.0794 0.0000 Hf
0.2516 0.5794 0.0000 Hf
0.7484 0.4206 0.0000 Hf
0.7516 0.9206 0.0000 Hf
0.1002 0.3269 0.5000 Zr
0.3998 0.8269 0.5000 Zr
0.6002 0.1731 0.5000 Zr
0.8998 0.6731 0.5000 Zr
0.0000 0.0000 0.5000 Fe
0.5000 0.5000 0.5000 Fe
```


The following is a theoretical PXRD pattern of Tb4Tm2Tl. It was derived from a DFT-relaxed cell (GGA-PBE, Alexandria), using Cu Kα (weighted mean of Kα1 and Kα2).
Kinematic intensities with the Lorentz-polarization factor, no thermal factor.

Largest 10 diffraction maxima, by intensity, 5 to 70 degrees two-theta:
2theta, Rel. int.
31.4, 100
32.5, 84
32.0, 70
33.0, 64
35.0, 64
31.8, 54
32.7, 50
30.7, 40
34.4, 34
31.1, 31

```
Tb4Tm2Tl
1.0
3.5866 0.0000 0.0000
0.0000 20.5374 0.0000
-1.6064 0.0000 11.6173
Tb Tm Tl
16 8 4
Direct
0.0105 0.2145 0.0119 Tb
0.0105 0.2855 0.5119 Tb
0.3401 0.5023 0.1320 Tb
0.3401 0.9977 0.6320 Tb
0.4538 0.5730 0.3962 Tb
0.4538 0.9270 0.8962 Tb
0.4658 0.2044 0.7446 Tb
0.4658 0.2956 0.2446 Tb
0.5342 0.7044 0.7554 Tb
0.5342 0.7956 0.2554 Tb
0.5462 0.0730 0.1038 Tb
0.5462 0.4270 0.6038 Tb
0.6599 0.0023 0.3680 Tb
0.6599 0.4977 0.8680 Tb
0.9895 0.7145 0.4881 Tb
0.9895 0.7855 0.9881 Tb
0.0483 0.5731 0.6486 Tm
0.0483 0.9269 0.1486 Tm
0.1263 0.1518 0.3219 Tm
0.1263 0.3482 0.8219 Tm
0.8737 0.6518 0.1781 Tm
0.8737 0.8482 0.6781 Tm
0.9517 0.0731 0.8514 Tm
0.9517 0.4269 0.3514 Tm
0.1763 0.6242 0.9434 Tl
0.1763 0.8758 0.4434 Tl
0.8237 0.1242 0.5566 Tl
0.8237 0.3758 0.0566 Tl
```


The following is a theoretical PXRD pattern of Sr3Br5F. It was derived from a DFT-relaxed cell (GGA-PBE, Alexandria), using Cu Kα (weighted mean of Kα1 and Kα2).
Kinematic intensities with the Lorentz-polarization factor, no thermal factor.

Largest 10 diffraction maxima, by intensity, 5 to 70 degrees two-theta:
2theta, Rel. int.
26.3, 100
34.4, 94
44.3, 83
19.1, 81
27.5, 76
17.4, 55
36.2, 45
39.8, 45
35.2, 41
27.9, 38

```
Sr3Br5F
1.0
13.5890 0.0000 0.0000
0.0000 5.0996 4.6456
0.0000 -5.0996 4.6456
Sr Br F
6 10 2
Direct
0.0000 0.0000 0.0000 Sr
0.1654 0.4094 0.4094 Sr
0.3103 0.9814 0.9814 Sr
0.5000 0.4767 0.4767 Sr
0.6897 0.9814 0.9814 Sr
0.8346 0.4094 0.4094 Sr
0.0000 0.1986 0.6011 Br
0.0000 0.6011 0.1986 Br
0.1541 0.7500 0.7500 Br
0.3285 0.2463 0.6448 Br
0.3285 0.6448 0.2463 Br
0.5000 0.1607 0.1607 Br
0.5000 0.7894 0.7894 Br
0.6715 0.2463 0.6448 Br
0.6715 0.6448 0.2463 Br
0.8459 0.7500 0.7500 Br
0.1597 0.1385 0.1385 F
0.8403 0.1385 0.1385 F
```


The following is a theoretical PXRD pattern of SmIn2Pd8. It was derived from a DFT-relaxed cell (GGA-PBE, Alexandria), using Cu Kα (weighted mean of Kα1 and Kα2).
Kinematic intensities with the Lorentz-polarization factor, no thermal factor.

Largest 10 diffraction maxima, by intensity, 5 to 70 degrees two-theta:
2theta, Rel. int.
37.8, 100
38.1, 97
43.3, 67
45.6, 28
62.8, 21
64.7, 20
64.3, 9
65.1, 9
34.8, 2
27.5, 2

```
SmIn2Pd8
1.0
7.3204 -2.0912 0.0000
7.3204 2.0912 0.0000
-2.0074 0.0000 6.2485
Sm In Pd
1 2 8
Direct
0.0000 0.0000 0.0000 Sm
0.2800 0.2800 0.3413 In
0.7200 0.7200 0.6587 In
0.0946 0.0946 0.4668 Pd
0.1812 0.1812 0.9157 Pd
0.3559 0.3559 0.7966 Pd
0.4597 0.4597 0.2801 Pd
0.5403 0.5403 0.7199 Pd
0.6441 0.6441 0.2034 Pd
0.8188 0.8188 0.0843 Pd
0.9054 0.9054 0.5332 Pd
```


The following is a theoretical PXRD pattern of Na4CeZr3Se8. It was derived from a DFT-relaxed cell (GGA-PBE, Alexandria), using Cu Kα (weighted mean of Kα1 and Kα2).
Kinematic intensities with the Lorentz-polarization factor, no thermal factor.

Largest 10 diffraction maxima, by intensity, 5 to 70 degrees two-theta:
2theta, Rel. int.
31.1, 100
42.8, 39
12.3, 38
46.1, 33
56.6, 17
64.7, 11
39.5, 10
26.5, 10
47.9, 7
54.0, 7

```
Na4CeZr3Se8
1.0
3.9373 2.2732 7.1737
-3.9373 2.2732 7.1737
0.0000 -4.5465 7.1737
Na Ce Zr Se
4 1 3 8
Direct
0.0000 0.0000 0.0000 Na
0.0000 0.5000 0.5000 Na
0.5000 0.0000 0.5000 Na
0.5000 0.5000 0.0000 Na
0.5000 0.5000 0.5000 Ce
0.0000 0.0000 0.5000 Zr
0.0000 0.5000 0.0000 Zr
0.5000 0.0000 0.0000 Zr
0.2287 0.7512 0.7512 Se
0.2412 0.2412 0.2412 Se
0.2488 0.2488 0.7713 Se
0.2488 0.7713 0.2488 Se
0.7512 0.2287 0.7512 Se
0.7512 0.7512 0.2287 Se
0.7588 0.7588 0.7588 Se
0.7713 0.2488 0.2488 Se
```


The following is a theoretical PXRD pattern of NdSi2Te6. It was derived from a DFT-relaxed cell (GGA-PBE, Alexandria), using Cu Kα (weighted mean of Kα1 and Kα2).
Kinematic intensities with the Lorentz-polarization factor, no thermal factor.

Largest 10 diffraction maxima, by intensity, 5 to 70 degrees two-theta:
2theta, Rel. int.
27.5, 100
29.8, 77
30.0, 56
26.6, 52
40.3, 47
28.2, 45
32.2, 36
21.2, 36
34.1, 35
46.0, 34

```
NdSi2Te6
1.0
7.0968 -6.0811 0.0000
7.0968 6.0811 0.0000
-2.3466 0.0000 6.8259
Nd Si Te
2 4 12
Direct
0.1708 0.8292 0.7500 Nd
0.8292 0.1708 0.2500 Nd
0.2305 0.3670 0.7773 Si
0.3670 0.2305 0.2773 Si
0.6330 0.7695 0.7227 Si
0.7695 0.6330 0.2227 Si
0.0484 0.1670 0.6749 Te
0.1441 0.5992 0.0029 Te
0.1670 0.0484 0.1749 Te
0.2481 0.4673 0.4866 Te
0.4008 0.8559 0.4971 Te
0.4673 0.2481 0.9866 Te
0.5327 0.7519 0.0134 Te
0.5992 0.1441 0.5029 Te
0.7519 0.5327 0.5134 Te
0.8330 0.9516 0.8251 Te
0.8559 0.4008 0.9971 Te
0.9516 0.8330 0.3251 Te
```


The following is a theoretical PXRD pattern of Tb6Tm3Cd. It was derived from a DFT-relaxed cell (GGA-PBE, Alexandria), using Cu Kα (weighted mean of Kα1 and Kα2).
Kinematic intensities with the Lorentz-polarization factor, no thermal factor.

Largest 10 diffraction maxima, by intensity, 5 to 70 degrees two-theta:
2theta, Rel. int.
31.5, 100
34.0, 73
30.3, 66
29.3, 60
32.6, 57
35.7, 57
32.8, 46
33.7, 43
29.8, 27
43.1, 19

```
Tb6Tm3Cd
1.0
4.8367 -10.0277 0.0000
4.8367 10.0277 0.0000
0.0000 0.0000 6.2810
Tb Tm Cd
12 6 2
Direct
0.0193 0.9807 0.5000 Tb
0.1015 0.5348 0.0187 Tb
0.2613 0.3725 0.2357 Tb
0.2843 0.7157 0.4621 Tb
0.3725 0.2613 0.7357 Tb
0.4652 0.8985 0.0187 Tb
0.5348 0.1015 0.5187 Tb
0.6275 0.7387 0.2357 Tb
0.7157 0.2843 0.9621 Tb
0.7387 0.6275 0.7357 Tb
0.8985 0.4652 0.5187 Tb
0.9807 0.0193 0.0000 Tb
0.0446 0.2954 0.6655 Tm
0.2954 0.0446 0.1655 Tm
0.4130 0.5870 0.7615 Tm
0.5870 0.4130 0.2615 Tm
0.7046 0.9554 0.6655 Tm
0.9554 0.7046 0.1655 Tm
0.1532 0.8468 0.7388 Cd
0.8468 0.1532 0.2388 Cd
```


The following is a theoretical PXRD pattern of PuSc2In2Hg2. It was derived from a DFT-relaxed cell (GGA-PBE, Alexandria), using Cu Kα (weighted mean of Kα1 and Kα2).
Kinematic intensities with the Lorentz-polarization factor, no thermal factor.

Largest 10 diffraction maxima, by intensity, 5 to 70 degrees two-theta:
2theta, Rel. int.
32.8, 100
36.8, 98
25.4, 32
50.1, 31
63.8, 30
22.2, 27
49.7, 19
45.3, 19
66.3, 17
27.6, 15

```
PuSc2In2Hg2
1.0
2.4433 1.4106 8.3349
-2.4433 1.4106 8.3349
0.0000 -2.8213 8.3349
Pu Sc In Hg
1 2 2 2
Direct
0.0000 0.0000 0.0000 Pu
0.1320 0.1320 0.1320 Sc
0.8680 0.8680 0.8680 Sc
0.2640 0.2640 0.2640 In
0.7360 0.7360 0.7360 In
0.4354 0.4354 0.4354 Hg
0.5646 0.5646 0.5646 Hg
```


The following is a theoretical PXRD pattern of RbBaLi. It was derived from a DFT-relaxed cell (GGA-PBE, Alexandria), using Cu Kα (weighted mean of Kα1 and Kα2).
Kinematic intensities with the Lorentz-polarization factor, no thermal factor.

Largest 10 diffraction maxima, by intensity, 5 to 70 degrees two-theta:
2theta, Rel. int.
21.2, 100
24.3, 89
5.1, 83
25.1, 73
37.1, 68
20.4, 60
24.2, 43
25.3, 36
22.2, 33
22.8, 30

```
RbBaLi
1.0
4.2016 -2.4265 0.0000
4.2016 2.4265 0.0000
-2.9410 0.0000 17.4408
Rb Ba Li
2 2 2
Direct
0.0000 0.0000 0.0000 Rb
0.7384 0.7384 0.2438 Rb
0.5874 0.5874 0.7725 Ba
0.8494 0.8494 0.5599 Ba
0.1300 0.1300 0.4095 Li
0.4638 0.4638 0.4107 Li
```


The following is a theoretical PXRD pattern of Ti9N3O. It was derived from a DFT-relaxed cell (GGA-PBE, Alexandria), using Cu Kα (weighted mean of Kα1 and Kα2).
Kinematic intensities with the Lorentz-polarization factor, no thermal factor.

Largest 10 diffraction maxima, by intensity, 5 to 70 degrees two-theta:
2theta, Rel. int.
38.7, 100
39.2, 69
37.0, 29
35.5, 20
37.9, 15
33.6, 13
41.9, 13
57.0, 12
67.7, 10
55.6, 10

```
Ti9N3O
1.0
5.0661 0.0000 0.0000
0.0000 7.8603 0.0000
-0.6096 0.0000 8.5154
Ti N O
18 6 2
Direct
0.1488 0.2500 0.1923 Ti
0.1700 0.5743 0.3655 Ti
0.1700 0.9257 0.3655 Ti
0.2261 0.2500 0.8511 Ti
0.2418 0.5814 0.0332 Ti
0.2418 0.9186 0.0332 Ti
0.3203 0.2500 0.5150 Ti
0.3456 0.5771 0.7025 Ti
0.3456 0.9229 0.7025 Ti
0.6544 0.0771 0.2975 Ti
0.6544 0.4229 0.2975 Ti
0.6797 0.7500 0.4850 Ti
0.7582 0.0814 0.9668 Ti
0.7582 0.4186 0.9668 Ti
0.7739 0.7500 0.1489 Ti
0.8300 0.0743 0.6345 Ti
0.8300 0.4257 0.6345 Ti
0.8512 0.7500 0.8077 Ti
0.0451 0.5027 0.8330 N
0.0451 0.9973 0.8330 N
0.5000 0.0000 0.5000 N
0.5000 0.5000 0.5000 N
0.9549 0.0027 0.1670 N
0.9549 0.4973 0.1670 N
0.4932 0.2500 0.0754 O
0.5068 0.7500 0.9246 O
```


The following is a theoretical PXRD pattern of Tb2Pm5. It was derived from a DFT-relaxed cell (GGA-PBE, Alexandria), using Cu Kα (weighted mean of Kα1 and Kα2).
Kinematic intensities with the Lorentz-polarization factor, no thermal factor.

Largest 10 diffraction maxima, by intensity, 5 to 70 degrees two-theta:
2theta, Rel. int.
32.1, 100
30.6, 25
28.1, 24
59.5, 23
55.3, 21
49.7, 20
60.4, 16
42.0, 16
67.1, 4
63.7, 3

```
Tb2Pm5
1.0
8.0272 -3.1764 0.0000
8.0272 3.1764 0.0000
-0.7797 0.0000 9.3432
Tb Pm
4 10
Direct
0.0943 0.7641 0.8929 Tb
0.2359 0.9057 0.6071 Tb
0.7641 0.0943 0.3929 Tb
0.9057 0.2359 0.1071 Tb
0.0490 0.3801 0.8214 Pm
0.1914 0.5256 0.5362 Pm
0.3331 0.6669 0.2500 Pm
0.3801 0.0490 0.3214 Pm
0.4744 0.8086 0.9638 Pm
0.5256 0.1914 0.0362 Pm
0.6199 0.9510 0.6786 Pm
0.6669 0.3331 0.7500 Pm
0.8086 0.4744 0.4638 Pm
0.9510 0.6199 0.1786 Pm
```


The following is a theoretical PXRD pattern of CsTmZrS4. It was derived from a DFT-relaxed cell (GGA-PBE, Alexandria), using Cu Kα (weighted mean of Kα1 and Kα2).
Kinematic intensities with the Lorentz-polarization factor, no thermal factor.

Largest 10 diffraction maxima, by intensity, 5 to 70 degrees two-theta:
2theta, Rel. int.
9.9, 100
25.2, 85
21.7, 83
32.2, 72
23.6, 67
29.3, 66
42.5, 47
43.4, 47
22.0, 44
56.8, 32

```
CsTmZrS4
1.0
6.9127 0.0000 0.0000
0.0000 7.0680 0.0000
-1.4626 0.0000 8.9279
Cs Tm Zr S
2 2 2 8
Direct
0.1691 0.2500 0.0747 Cs
0.8309 0.7500 0.9253 Cs
0.1553 0.7500 0.4567 Tm
0.8447 0.2500 0.5433 Tm
0.3734 0.2500 0.6551 Zr
0.6266 0.7500 0.3449 Zr
0.1275 0.0036 0.6810 S
0.1275 0.4964 0.6810 S
0.3070 0.7500 0.1930 S
0.4568 0.2500 0.4129 S
0.5432 0.7500 0.5871 S
0.6930 0.2500 0.8070 S
0.8725 0.5036 0.3190 S
0.8725 0.9964 0.3190 S
```